No. 1
Starting from a crystal structure in Alexandria, relaxed with GGA-PBE, the powder diffraction line list of Rb4PbO4 was calculated for CuKα.
No peak broadening, texture or thermal motion is included.

Top 10 peaks for 5 to 70 degrees two-theta, by angle:
2θ (°)	d_spacing	I (rel.)	index
14.77	5.999	38	1 1 0
27.08	3.292	60	2 0 2
27.36	3.260	47	2 1 -3
27.63	3.229	60	3 1 -2
28.19	3.166	100	1 2 1
33.33	2.688	52	1 1 -4
34.00	2.637	41	4 1 -1
43.27	2.091	19	0 1 5
44.18	2.050	18	5 1 0
48.54	1.876	25	3 2 3

abc: 11.3933 7.2207 11.6386
angles: 90.00 110.24 90.00
Space group P2_1/c (No. 14)
Unique sites:
Rb  0.0520  0.0825  0.1903 [4 per cell]
Rb  0.1658  0.6005  0.0911 [4 per cell]
Rb  0.3651  0.6638  0.8911 [4 per cell]
Rb  0.4328  0.1991  0.7978 [4 per cell]
Pb  0.2450  0.1312  0.9964 [4 per cell]
O  0.0661  0.2453  0.9678 [4 per cell]
O  0.2261  0.5077  0.3319 [4 per cell]
O  0.3072  0.5412  0.6535 [4 per cell]
O  0.3747  0.1484  0.5317 [4 per cell]


No. 2
Starting from a crystal structure in Alexandria, relaxed with GGA-PBE, the powder diffraction line list of Ti7TlSn3 was calculated for CuKα.
No peak broadening, texture or thermal motion is included.

Top 10 peaks for 5 to 70 degrees two-theta, by angle:
2θ (°)	d_spacing	I (rel.)	index
20.88	4.255	43	0 2 0
26.64	3.346	65	1 1 2
34.65	2.589	49	2 0 0
35.10	2.557	44	0 0 4
40.31	2.237	100	1 3 2
40.79	2.212	18	2 2 0
41.19	2.192	14	0 2 4
50.14	1.819	31	2 0 4
65.91	1.417	31	0 6 0
66.49	1.406	19	1 3 6

abc: 5.1782 8.5101 10.2273
angles: 90.00 90.00 90.00
Space group Immm (No. 71)
Unique sites:
Ti  0.0000  0.0000  0.0000 [2 per cell]
Ti  0.0000  0.1743  0.5000 [4 per cell]
Ti  0.0000  0.3302  0.2417 [8 per cell]
Tl  0.0000  0.5000  0.5000 [2 per cell]
Sn  0.0000  0.0000  0.2676 [4 per cell]
Sn  0.0000  0.5000  0.0000 [2 per cell]


No. 3
Starting from a crystal structure in Alexandria, relaxed with GGA-PBE, the powder diffraction line list of Li3Pt2 was calculated for CuKα.
No peak broadening, texture or thermal motion is included.

Top 10 peaks for 5 to 70 degrees two-theta, by angle:
2θ (°)	d_spacing	I (rel.)	index
22.08	4.027	19	1 1 1
24.53	3.630	100	0 2 2
29.49	3.029	65	1 1 3
39.75	2.268	29	2 0 2
40.71	2.216	47	1 1 5
41.28	2.187	23	0 4 0
41.73	2.164	26	1 3 3
42.70	2.117	41	2 2 0
50.67	1.802	25	1 3 5
58.64	1.574	20	2 4 2

abc: 4.8393 8.7488 13.0057
angles: 90.00 90.00 90.00
Space group Fddd (No. 70, origin choice 2)
Unique sites:
Li  0.1250  0.1250  0.0236 [16 per cell]
Li  0.1250  0.1250  0.6250 [8 per cell]
Pt  0.1250  0.1250  0.4255 [16 per cell]


No. 4
Starting from a crystal structure in Alexandria, relaxed with GGA-PBE, the powder diffraction line list of NdP3H6O12 was calculated for CuKα.
No peak broadening, texture or thermal motion is included.

Top 10 peaks for 5 to 70 degrees two-theta, by angle:
2θ (°)	d_spacing	I (rel.)	index
15.11	5.864	92	1 0 0
20.96	4.239	100	1 0 1
29.11	3.068	18	0 0 2
30.15	2.964	58	1 1 1
30.49	2.932	18	2 0 0
33.88	2.646	38	2 0 1
40.71	2.216	22	2 1 0
42.66	2.120	23	2 0 2
43.41	2.085	20	1 2 1
50.82	1.797	29	2 1 2

abc: 6.7715 6.7715 6.1351
angles: 90.00 90.00 120.00
Space group P-6 (No. 174)
Unique sites:
Nd  0.0000  0.0000  0.0000 [1 per cell]
P  0.1116  0.7255  0.5000 [3 per cell]
H  0.4870  0.0410  0.1258 [6 per cell]
O  0.0122  0.7446  0.2884 [6 per cell]
O  0.0968  0.4795  0.5000 [3 per cell]
O  0.3972  0.0389  0.0000 [3 per cell]